(1)
This entry pairs a crystal structure of V3FeSn2P6O24 with its simulated PXRD pattern. Radiation: Cu Kα (weighted mean of Kα1 and Kα2). Structure: a structure optimized by DFT (PBE+U).
Kinematic intensities with the Lorentz-polarization factor, no thermal factor.

Main lines, low angle first (10 to 80 degrees two-theta):
2θ/deg	I (rel.)	h k l
20.6	96.4	1 1 0
23.8	64.2	2 -1 3
25.2	26.8	2 0 2
31.6	100.0	1 1 6
36.1	34.4	3 0 0
45.5	26.9	1 2 8
48.8	34.4	2 2 6
56.5	24.1	1 4 0

Crystal structure
Lattice parameters (Å, degrees): 8.6136 8.6136 22.5099 90.00 90.00 120.00
Space group R3 (No. 146, hexagonal axes)
Symmetry-distinct sites (fractional):
V  0.0000  0.0000  0.0000 (multiplicity 3)
V  0.0000  0.0000  0.2049 (multiplicity 3)
V  0.0000  0.0000  0.7036 (multiplicity 3)
Fe  0.0000  0.0000  0.5015 (multiplicity 3)
Sn  0.0000  0.0000  0.3561 (multiplicity 3)
Sn  0.0000  0.0000  0.8522 (multiplicity 3)
P  0.0001  0.2877  0.6018 (multiplicity 9)
P  0.0473  0.6674  0.7682 (multiplicity 9)
O  0.0177  0.8210  0.0445 (multiplicity 9)
O  0.0244  0.1899  0.2632 (multiplicity 9)
O  0.0270  0.8366  0.7630 (multiplicity 9)
O  0.0289  0.2077  0.5454 (multiplicity 9)
O  0.1558  0.4640  0.3256 (multiplicity 9)
O  0.1557  0.6909  0.8252 (multiplicity 9)
O  0.1688  0.4779  0.6087 (multiplicity 9)
O  0.1692  0.6959  0.1051 (multiplicity 9)

***

(2)
This entry pairs a crystal structure of KAlCr2O10 with its simulated PXRD pattern. Radiation: Cu Kα (weighted mean of Kα1 and Kα2). Structure: a structure optimized by DFT (PBE+U).
Kinematic intensities with the Lorentz-polarization factor, no thermal factor.

Main lines, low angle first (10 to 80 degrees two-theta):
2θ/deg	I (rel.)	h k l
17.0	34.8	2 0 0
17.3	100.0	2 0 -1
23.3	76.3	1 1 1
23.7	58.9	2 0 1
27.9	90.7	1 1 -2
29.5	45.9	3 1 -1
30.4	38.0	3 1 0
32.7	41.5	0 2 0

Crystal structure
Lattice parameters (Å, degrees): 11.0353 5.4714 7.8958 90.00 108.82 90.00
Space group C2/m (No. 12)
Symmetry-distinct sites (fractional):
K  0.0000  0.0000  0.0000 (multiplicity 2)
Al  0.0000  0.0000  0.5000 (multiplicity 2)
Cr  0.1167  0.5000  0.7727 (multiplicity 4)
O  0.0313  0.2400  0.6806 (multiplicity 8)
O  0.1374  0.5000  0.9849 (multiplicity 4)
O  0.1785  0.0000  0.5836 (multiplicity 4)
O  0.2465  0.0000  0.2588 (multiplicity 4)

***

(3)
This entry pairs a crystal structure of MgTiFeO4 with its simulated PXRD pattern. Radiation: Cu Kα (weighted mean of Kα1 and Kα2). Structure: a structure optimized by DFT (PBE+U).
Kinematic intensities with the Lorentz-polarization factor, no thermal factor.

Main lines, low angle first (10 to 80 degrees two-theta):
2θ/deg	I (rel.)	h k l
23.0	42.0	0 1 1
24.8	100.0	1 0 1
35.3	36.5	0 1 3
36.7	47.0	1 1 2
37.7	54.4	0 0 4
42.9	62.5	0 2 0
46.9	46.3	2 0 0
53.5	36.9	1 0 5

Crystal structure
Lattice parameters (Å, degrees): 3.8720 4.2188 9.5450 90.00 90.00 90.00
Space group Imm2 (No. 44)
Symmetry-distinct sites (fractional):
Mg  0.0000  0.0000  0.0000 (multiplicity 2)
Ti  0.0000  0.5000  0.2261 (multiplicity 2)
Fe  0.0000  0.0000  0.4354 (multiplicity 2)
O  0.0000  0.0000  0.2217 (multiplicity 2)
O  0.0000  0.0000  0.7419 (multiplicity 2)
O  0.0000  0.5000  0.0220 (multiplicity 2)
O  0.0000  0.5000  0.4394 (multiplicity 2)

***

(4)
This entry pairs a crystal structure of Li3Mn4B4O12 with its simulated PXRD pattern. Radiation: Cu Kα (weighted mean of Kα1 and Kα2). Structure: a structure optimized by DFT (PBE+U).
Kinematic intensities with the Lorentz-polarization factor, no thermal factor.

Main lines, low angle first (10 to 80 degrees two-theta):
2θ/deg	I (rel.)	h k l
20.2	72.8	0 2 1
20.7	20.8	1 -1 1
21.9	37.0	-1 1 1
22.7	58.5	1 1 2
33.9	22.5	2 0 1
34.1	100.0	0 0 4
34.4	20.2	1 -3 0
40.6	45.7	2 2 0

Crystal structure
Lattice parameters (Å, degrees): 5.2962 9.0493 10.8796 79.82 79.08 89.40
Space group P1 (No. 1)
Symmetry-distinct sites (fractional):
Li  0.0000  0.0000  0.0000 (multiplicity 1)
Li  0.0016  0.2265  0.6710 (multiplicity 1)
Li  0.2558  0.7489  0.4960 (multiplicity 1)
Li  0.2663  0.9684  0.1824 (multiplicity 1)
Li  0.5148  0.7133  0.6820 (multiplicity 1)
Li  0.7533  0.4751  0.1685 (multiplicity 1)
Mn  0.0246  0.3527  0.9631 (multiplicity 1)
Mn  0.2336  0.6138  0.2159 (multiplicity 1)
Mn  0.2720  0.1029  0.4614 (multiplicity 1)
Mn  0.4775  0.3586  0.7184 (multiplicity 1)
Mn  0.5298  0.8388  0.9608 (multiplicity 1)
Mn  0.7394  0.1241  0.2226 (multiplicity 1)
Mn  0.7812  0.5847  0.4638 (multiplicity 1)
Mn  0.9883  0.8750  0.7150 (multiplicity 1)
B  0.0102  0.6845  0.9778 (multiplicity 1)
B  0.2419  0.2914  0.2123 (multiplicity 1)
B  0.2643  0.4315  0.4747 (multiplicity 1)
B  0.4900  0.0394  0.7132 (multiplicity 1)
B  0.5212  0.1717  0.9638 (multiplicity 1)
B  0.7486  0.7881  0.2121 (multiplicity 1)
B  0.7648  0.9207  0.4702 (multiplicity 1)
B  0.9972  0.5390  0.7111 (multiplicity 1)
O  0.0071  0.3070  0.1722 (multiplicity 1)
O  0.0108  0.9163  0.5012 (multiplicity 1)
O  0.0948  0.3981  0.7543 (multiplicity 1)
O  0.1107  0.3092  0.4882 (multiplicity 1)
O  0.1500  0.6661  0.6900 (multiplicity 1)
O  0.1971  0.5742  0.4096 (multiplicity 1)
O  0.2356  0.6808  0.0302 (multiplicity 1)
O  0.2521  0.0578  0.6774 (multiplicity 1)
O  0.3285  0.1487  0.2533 (multiplicity 1)
O  0.3634  0.0449  0.9922 (multiplicity 1)
O  0.3965  0.4152  0.2095 (multiplicity 1)
O  0.4277  0.3075  0.9039 (multiplicity 1)
O  0.4788  0.4311  0.5323 (multiplicity 1)
O  0.5026  0.7942  0.1836 (multiplicity 1)
O  0.5751  0.8946  0.7544 (multiplicity 1)
O  0.6173  0.7888  0.4930 (multiplicity 1)
O  0.6480  0.1619  0.7095 (multiplicity 1)
O  0.6651  0.0548  0.4217 (multiplicity 1)
O  0.7527  0.5405  0.6820 (multiplicity 1)
O  0.7573  0.1704  0.0013 (multiplicity 1)
O  0.8411  0.6446  0.2554 (multiplicity 1)
O  0.8666  0.5587  0.9859 (multiplicity 1)
O  0.9041  0.9138  0.1916 (multiplicity 1)
O  0.9353  0.8261  0.9232 (multiplicity 1)

***

(5)
This entry pairs a crystal structure of Li2TiMnO4 with its simulated PXRD pattern. Radiation: Cu Kα (weighted mean of Kα1 and Kα2). Structure: a structure optimized by DFT (PBE+U).
Kinematic intensities with the Lorentz-polarization factor, no thermal factor.

Main lines, low angle first (10 to 80 degrees two-theta):
2θ/deg	I (rel.)	h k l
17.9	100.0	1 1 0
34.2	13.3	1 3 -1
34.8	17.0	3 1 -1
35.0	12.1	3 1 -2
41.4	29.4	0 4 0
42.5	57.2	0 0 2
45.9	8.1	3 3 -1
60.8	30.8	0 4 2

Crystal structure
Lattice parameters (Å, degrees): 8.5041 8.7306 5.9974 90.00 134.75 90.00
Space group C2/c (No. 15)
Symmetry-distinct sites (fractional):
Li  0.0000  0.0000  0.0000 (multiplicity 4)
Li  0.2500  0.2500  0.0000 (multiplicity 4)
Ti  0.0000  0.5000  0.0000 (multiplicity 4)
Mn  0.2500  0.2500  0.5000 (multiplicity 4)
O  0.0002  0.2755  0.9999 (multiplicity 8)
O  0.2275  0.4969  0.9770 (multiplicity 8)

***

(6)
This entry pairs a crystal structure of Fe3Co2CuP6O24 with its simulated PXRD pattern. Radiation: Cu Kα (weighted mean of Kα1 and Kα2). Structure: a structure optimized by DFT (PBE+U).
Kinematic intensities with the Lorentz-polarization factor, no thermal factor.

Main lines, low angle first (10 to 80 degrees two-theta):
2θ/deg	I (rel.)	h k l
20.6	98.9	1 1 0
24.5	100.0	1 1 3
33.7	77.4	1 1 6
36.0	46.7	3 0 0
48.3	32.2	1 2 8
50.2	30.4	4 -2 6
56.4	27.0	4 1 0
63.3	25.1	4 1 6

Crystal structure
Lattice parameters (Å, degrees): 8.6373 8.6373 20.2376 90.00 90.00 120.00
Space group R3 (No. 146, hexagonal axes)
Symmetry-distinct sites (fractional):
Fe  0.0000  0.0000  0.0000 (multiplicity 3)
Fe  0.0000  0.0000  0.2108 (multiplicity 3)
Fe  0.0000  0.0000  0.5005 (multiplicity 3)
Co  0.0000  0.0000  0.3554 (multiplicity 3)
Co  0.0000  0.0000  0.8549 (multiplicity 3)
Cu  0.0000  0.0000  0.7109 (multiplicity 3)
P  0.9995  0.2957  0.6066 (multiplicity 9)
P  0.0359  0.6673  0.7720 (multiplicity 9)
O  0.0031  0.2048  0.6708 (multiplicity 9)
O  0.0086  0.1766  0.2831 (multiplicity 9)
O  0.0093  0.8053  0.1676 (multiplicity 9)
O  0.0134  0.8352  0.7841 (multiplicity 9)
O  0.1399  0.6774  0.7102 (multiplicity 9)
O  0.1425  0.4649  0.2117 (multiplicity 9)
O  0.1648  0.6756  0.0947 (multiplicity 9)
O  0.1663  0.4868  0.5950 (multiplicity 9)